Theoretical XRD peak list
Compound: Sm2TmCo
Radiation: Cu Ka
Structure: the GGA-PBE geometry in Alexandria
Peak positions follow from Bragg's law for the DFT cell and can differ from measured ones.

Structure:
```
Sm2TmCo
1.0
6.508 0.000 0.000
0.000 6.218 0.000
0.000 0.000 11.249
Sm Tm Co
8 4 4
direct
0.088 0.245 0.087 Sm
0.088 0.255 0.413 Sm
0.412 0.745 0.413 Sm
0.412 0.755 0.087 Sm
0.588 0.245 0.913 Sm
0.588 0.255 0.587 Sm
0.912 0.745 0.587 Sm
0.912 0.755 0.913 Sm
0.081 0.250 0.750 Tm
0.419 0.750 0.750 Tm
0.581 0.250 0.250 Tm
0.919 0.750 0.250 Tm
0.250 0.000 0.911 Co
0.250 0.500 0.589 Co
0.750 0.000 0.089 Co
0.750 0.500 0.411 Co
```

Largest 10 diffraction maxima, by angle, 10 to 90 degrees two-theta:
h k l, 2θ/deg, d/Å, I (rel.)
1 0 3, 27.4, 3.250, 12
0 2 0, 28.7, 3.109, 20
2 1 0, 31.0, 2.881, 100
1 2 3, 40.1, 2.247, 27
3 0 3, 48.5, 1.877, 25
2 3 0, 52.3, 1.748, 23
3 2 3, 57.3, 1.607, 18
2 1 6, 58.7, 1.572, 16
5 1 3, 79.5, 1.206, 9
3 4 3, 80.2, 1.197, 11



Theoretical XRD peak list
Compound: SmTmCo
Radiation: Cu Ka
Structure: the GGA-PBE geometry in Alexandria
Peak positions follow from Bragg's law for the DFT cell and can differ from measured ones.

Structure:
```
SmTmCo
1.0
5.615 0.000 0.000
0.000 3.801 0.000
-0.794 0.000 7.131
Sm Tm Co
2 2 2
direct
0.188 0.250 0.328 Sm
0.812 0.750 0.672 Sm
0.340 0.250 0.842 Tm
0.660 0.750 0.158 Tm
0.136 0.750 0.045 Co
0.864 0.250 0.955 Co
```

Largest 10 diffraction maxima, by angle, 10 to 90 degrees two-theta:
h k l, 2θ/deg, d/Å, I (rel.)
0 0 1, 12.4, 7.131, 41
1 0 -2, 28.2, 3.168, 28
1 1 0, 28.4, 3.142, 93
1 1 -1, 30.4, 2.944, 31
1 0 2, 31.2, 2.864, 45
2 0 -1, 33.2, 2.702, 33
0 1 2, 34.5, 2.601, 100
1 1 -2, 36.9, 2.434, 30
2 1 1, 43.2, 2.092, 28
0 2 0, 47.9, 1.901, 30